Simulated XRD peak list
Compound: Tl3Hg3Se
Radiation: a wavelength of 1.5418 Å
Structure: a DFT-relaxed cell (PBE, Alexandria)

Peak list (12 most intense, 2θ from 10° to 80°, in order of falling intensity)
- hkl 2 1 1, 32.7 deg, rel. 100
- hkl 2 1 0, 24.4 deg, rel. 33
- hkl 3 1 0, 33.4 deg, rel. 28
- hkl 4 1 0, 42.9 deg, rel. 24
- hkl 2 4 1, 54.9 deg, rel. 20
- hkl 3 0 1, 35.3 deg, rel. 18
- hkl 2 0 1, 28.4 deg, rel. 17
- hkl 4 1 2, 62.9 deg, rel. 15
- hkl 0 0 2, 43.7 deg, rel. 15
- hkl 1 0 1, 23.4 deg, rel. 15
- hkl 3 1 2, 56.1 deg, rel. 13
- hkl 2 1 3, 73.3 deg, rel. 10

```
Tl3Hg3Se
1.0
11.1620 0.0000 0.0000
-5.5810 9.6666 0.0000
0.0000 0.0000 4.1435
Tl Hg Se
6 6 2
direct
0.1173 0.4806 0.2500 Tl
0.3634 0.8827 0.2500 Tl
0.4806 0.3634 0.7500 Tl
0.5194 0.6366 0.2500 Tl
0.6366 0.1173 0.7500 Tl
0.8827 0.5194 0.7500 Tl
0.0419 0.8046 0.2500 Hg
0.1954 0.2373 0.2500 Hg
0.2373 0.0419 0.7500 Hg
0.7627 0.9581 0.2500 Hg
0.8046 0.7627 0.7500 Hg
0.9581 0.1954 0.7500 Hg
0.3333 0.6667 0.7500 Se
0.6667 0.3333 0.2500 Se
```